No. 1
Structure and computed powder X-ray diffraction pattern of CsBaB2Pb (a PBE-relaxed structure; Cu Kα).
No peak broadening, texture or thermal motion is included.

Crystal structure
Cell: 5.635 5.635 6.411 Å, 90.00 90.00 90.00°
Element x y z (fractional)
Cs 0.000 0.000 0.000
Ba 0.000 0.000 0.500
B 0.000 0.500 0.000
B 0.500 0.000 0.000
Pb 0.500 0.500 0.500

The 12 most intense peaks (10° ≤ 2θ ≤ 90°), low angle first:
| 2theta | intensity |
| --- | --- |
| 13.81 | 24 |
| 20.99 | 47 |
| 22.31 | 100 |
| 26.34 | 33 |
| 27.83 | 34 |
| 31.76 | 48 |
| 35.96 | 60 |
| 38.38 | 21 |
| 42.73 | 43 |
| 51.27 | 22 |
| 54.21 | 21 |
| 59.34 | 29 |

No. 2
Structure and computed powder X-ray diffraction pattern of CsK2SbF8 (a PBE-relaxed structure; Cu Kα).
No peak broadening, texture or thermal motion is included.

Crystal structure
Cell: 4.857 6.146 8.749 Å, 89.99 89.92 78.98°
Element x y z (fractional)
Cs 0.000 0.000 0.000
K 0.498 0.500 0.225
K 0.502 0.500 0.775
Sb 0.000 0.000 0.500
F 0.109 0.186 0.657
F 0.110 0.185 0.343
F 0.360 0.805 0.500
F 0.417 0.276 0.000
F 0.583 0.724 0.000
F 0.640 0.195 0.500
F 0.890 0.815 0.657
F 0.891 0.814 0.343

The 12 most intense peaks (10° ≤ 2θ ≤ 90°), low angle first:
| 2theta | intensity |
| --- | --- |
| 14.68 | 71 |
| 18.61 | 27 |
| 20.30 | 39 |
| 21.43 | 71 |
| 25.15 | 100 |
| 25.94 | 69 |
| 27.68 | 44 |
| 29.66 | 35 |
| 37.74 | 23 |
| 38.14 | 59 |
| 43.30 | 29 |
| 43.67 | 31 |

No. 3
Structure and computed powder X-ray diffraction pattern of NaSmC2O6 (a PBE-relaxed structure; Cu Kα).
No peak broadening, texture or thermal motion is included.

Crystal structure
Cell: 5.142 6.409 7.069 Å, 90.00 90.00 90.00°
Element x y z (fractional)
Na 0.000 0.025 0.000
Na 0.000 0.975 0.500
Sm 0.500 0.365 0.302
Sm 0.500 0.635 0.802
C 0.000 0.472 0.973
C 0.000 0.528 0.473
C 0.500 0.082 0.715
C 0.500 0.918 0.215
O 0.000 0.353 0.384
O 0.000 0.647 0.884
O 0.222 0.384 0.011
O 0.222 0.616 0.511
O 0.287 0.016 0.252
O 0.287 0.984 0.752
O 0.500 0.267 0.637
O 0.500 0.733 0.137
O 0.713 0.016 0.252
O 0.713 0.984 0.752
O 0.778 0.384 0.011
O 0.778 0.616 0.511

The 12 most intense peaks (10° ≤ 2θ ≤ 90°), low angle first:
| 2theta | intensity |
| --- | --- |
| 13.82 | 35 |
| 17.25 | 54 |
| 18.69 | 62 |
| 22.16 | 23 |
| 25.20 | 22 |
| 25.54 | 45 |
| 30.67 | 100 |
| 35.36 | 45 |
| 39.87 | 23 |
| 45.89 | 26 |
| 47.11 | 34 |
| 47.90 | 21 |

No. 4
Structure and computed powder X-ray diffraction pattern of ZrZn3 (a PBE-relaxed structure; Cu Kα).
No peak broadening, texture or thermal motion is included.

Crystal structure
Cell: 8.150 8.150 8.150 Å, 150.11 150.11 42.79°
Element x y z (fractional)
Zr 0.126 0.126 0.000
Zr 0.874 0.874 0.000
Zn 0.000 0.500 0.500
Zn 0.250 0.750 0.500
Zn 0.366 0.366 0.000
Zn 0.500 0.000 0.500
Zn 0.634 0.634 0.000
Zn 0.750 0.250 0.500

The 12 most intense peaks (10° ≤ 2θ ≤ 90°), low angle first:
| 2theta | intensity |
| --- | --- |
| 21.94 | 2 |
| 36.51 | 1 |
| 38.47 | 100 |
| 43.03 | 37 |
| 47.95 | 13 |
| 57.67 | 1 |
| 59.02 | 1 |
| 62.48 | 11 |
| 66.37 | 18 |
| 75.82 | 25 |
| 82.43 | 9 |
| 82.96 | 9 |

No. 5
Structure and computed powder X-ray diffraction pattern of Ce12Si6Rh (a PBE-relaxed structure; Cu Kα).
No peak broadening, texture or thermal motion is included.

Crystal structure
Cell: 7.775 7.775 7.775 Å, 94.86 94.86 94.86°
Element x y z (fractional)
Ce 0.015 0.914 0.651
Ce 0.086 0.349 0.985
Ce 0.163 0.429 0.534
Ce 0.349 0.985 0.086
Ce 0.429 0.534 0.163
Ce 0.466 0.837 0.571
Ce 0.534 0.163 0.429
Ce 0.571 0.466 0.837
Ce 0.651 0.015 0.914
Ce 0.837 0.571 0.466
Ce 0.914 0.651 0.015
Ce 0.985 0.086 0.349
Si 0.162 0.741 0.327
Si 0.259 0.673 0.838
Si 0.327 0.162 0.741
Si 0.673 0.838 0.259
Si 0.741 0.327 0.162
Si 0.838 0.259 0.673
Rh 0.000 0.000 0.000

The 12 most intense peaks (10° ≤ 2θ ≤ 90°), low angle first:
| 2theta | intensity |
| --- | --- |
| 23.06 | 62 |
| 24.84 | 71 |
| 30.50 | 67 |
| 33.38 | 100 |
| 35.77 | 76 |
| 37.89 | 41 |
| 38.38 | 39 |
| 44.10 | 41 |
| 47.53 | 45 |
| 51.87 | 35 |
| 52.62 | 30 |
| 62.77 | 30 |

No. 6
Structure and computed powder X-ray diffraction pattern of CdCu2Au9 (a PBE-relaxed structure; Cu Kα).
No peak broadening, texture or thermal motion is included.

Crystal structure
Cell: 4.113 4.113 12.365 Å, 90.00 90.00 90.00°
Element x y z (fractional)
Cd 0.000 0.000 0.000
Cu 0.000 0.000 0.339
Cu 0.000 0.000 0.661
Au 0.000 0.500 0.177
Au 0.000 0.500 0.500
Au 0.000 0.500 0.823
Au 0.500 0.000 0.177
Au 0.500 0.000 0.500
Au 0.500 0.000 0.823
Au 0.500 0.500 0.000
Au 0.500 0.500 0.338
Au 0.500 0.500 0.662

The 12 most intense peaks (10° ≤ 2θ ≤ 90°), low angle first:
| 2theta | intensity |
| --- | --- |
| 21.59 | 8 |
| 30.72 | 7 |
| 37.86 | 100 |
| 44.00 | 49 |
| 49.52 | 4 |
| 54.62 | 3 |
| 63.98 | 32 |
| 68.35 | 1 |
| 76.72 | 11 |
| 76.85 | 26 |
| 80.91 | 11 |
| 88.95 | 1 |

No. 7
Structure and computed powder X-ray diffraction pattern of Ac2PmPd3Au12 (a PBE-relaxed structure; Cu Kα).
No peak broadening, texture or thermal motion is included.

Crystal structure
Cell: 8.476 8.476 8.476 Å, 64.18 64.18 64.18°
Element x y z (fractional)
Ac 0.104 0.104 0.104
Ac 0.896 0.896 0.896
Pm 0.500 0.500 0.500
Pd 0.000 0.500 0.500
Pd 0.500 0.000 0.500
Pd 0.500 0.500 0.000
Au 0.101 0.646 0.646
Au 0.143 0.143 0.638
Au 0.143 0.638 0.143
Au 0.354 0.354 0.899
Au 0.354 0.899 0.354
Au 0.362 0.857 0.857
Au 0.638 0.143 0.143
Au 0.646 0.101 0.646
Au 0.646 0.646 0.101
Au 0.857 0.362 0.857
Au 0.857 0.857 0.362
Au 0.899 0.354 0.354

The 12 most intense peaks (10° ≤ 2θ ≤ 90°), low angle first:
| 2theta | intensity |
| --- | --- |
| 23.82 | 17 |
| 28.99 | 100 |
| 33.34 | 13 |
| 37.86 | 14 |
| 40.05 | 95 |
| 42.84 | 52 |
| 48.75 | 13 |
| 50.19 | 20 |
| 60.08 | 21 |
| 66.07 | 16 |
| 72.75 | 14 |
| 74.67 | 20 |

No. 8
Structure and computed powder X-ray diffraction pattern of LiMgPd5 (a PBE-relaxed structure; Cu Kα).
No peak broadening, texture or thermal motion is included.

Crystal structure
Cell: 4.806 4.806 5.455 Å, 90.00 90.00 111.67°
Element x y z (fractional)
Li 0.000 0.000 0.000
Mg 0.500 0.500 0.500
Pd 0.000 0.500 0.252
Pd 0.000 0.500 0.748
Pd 0.500 0.000 0.252
Pd 0.500 0.000 0.748
Pd 0.500 0.500 0.000

The 12 most intense peaks (10° ≤ 2θ ≤ 90°), low angle first:
| 2theta | intensity |
| --- | --- |
| 19.88 | 32 |
| 22.35 | 62 |
| 32.83 | 23 |
| 33.19 | 22 |
| 40.08 | 100 |
| 40.39 | 98 |
| 45.62 | 34 |
| 47.38 | 61 |
| 52.99 | 23 |
| 67.88 | 41 |
| 82.95 | 24 |
| 83.54 | 23 |

No. 9
Structure and computed powder X-ray diffraction pattern of Sm3Ni2Rh7 (a PBE-relaxed structure; Cu Kα).
No peak broadening, texture or thermal motion is included.

Crystal structure
Cell: 9.075 9.075 9.075 Å, 33.95 33.95 33.95°
Element x y z (fractional)
Sm 0.000 0.000 0.000
Sm 0.139 0.139 0.139
Sm 0.861 0.861 0.861
Ni 0.333 0.333 0.333
Ni 0.667 0.667 0.667
Rh 0.078 0.580 0.580
Rh 0.420 0.420 0.922
Rh 0.420 0.922 0.420
Rh 0.500 0.500 0.500
Rh 0.580 0.078 0.580
Rh 0.580 0.580 0.078
Rh 0.922 0.420 0.420

The 12 most intense peaks (10° ≤ 2θ ≤ 90°), low angle first:
| 2theta | intensity |
| --- | --- |
| 31.25 | 39 |
| 33.83 | 32 |
| 34.13 | 43 |
| 39.43 | 49 |
| 39.91 | 21 |
| 40.04 | 100 |
| 42.31 | 18 |
| 43.19 | 28 |
| 60.71 | 16 |
| 64.73 | 24 |
| 65.19 | 20 |
| 71.17 | 27 |

No. 10
Structure and computed powder X-ray diffraction pattern of LiScCdCo (a PBE-relaxed structure; Cu Kα).
No peak broadening, texture or thermal motion is included.

Crystal structure
Cell: 4.503 4.503 4.503 Å, 60.00 60.00 60.00°
Element x y z (fractional)
Li 0.000 0.000 0.000
Sc 0.750 0.750 0.750
Cd 0.250 0.250 0.250
Co 0.500 0.500 0.500

The 11 most intense peaks (10° ≤ 2θ ≤ 90°), low angle first:
| 2theta | intensity |
| --- | --- |
| 24.21 | 40 |
| 28.02 | 22 |
| 40.04 | 100 |
| 47.34 | 20 |
| 49.58 | 6 |
| 57.92 | 16 |
| 63.69 | 8 |
| 65.55 | 7 |
| 72.74 | 31 |
| 77.95 | 6 |
| 86.43 | 10 |

No. 11
Structure and computed powder X-ray diffraction pattern of Pr6HoCd (a PBE-relaxed structure; Cu Kα).
No peak broadening, texture or thermal motion is included.

Crystal structure
Cell: 5.075 5.075 10.338 Å, 90.00 90.00 90.00°
Element x y z (fractional)
Pr 0.000 0.000 0.000
Pr 0.000 0.000 0.500
Pr 0.000 0.500 0.246
Pr 0.000 0.500 0.754
Pr 0.500 0.000 0.246
Pr 0.500 0.000 0.754
Ho 0.500 0.500 0.500
Cd 0.500 0.500 0.000

The 12 most intense peaks (10° ≤ 2θ ≤ 90°), low angle first:
| 2theta | intensity |
| --- | --- |
| 30.32 | 100 |
| 34.71 | 17 |
| 35.37 | 33 |
| 50.40 | 24 |
| 50.89 | 12 |
| 59.51 | 14 |
| 60.40 | 28 |
| 63.07 | 12 |
| 82.06 | 12 |
| 82.83 | 6 |
| 84.05 | 5 |
| 85.20 | 5 |

No. 12
Structure and computed powder X-ray diffraction pattern of Tm7Sc (a PBE-relaxed structure; Cu Kα).
No peak broadening, texture or thermal motion is included.

Crystal structure
Cell: 8.492 8.492 8.492 Å, 156.53 100.26 84.53°
Element x y z (fractional)
Tm 0.000 0.000 0.000
Tm 0.099 0.368 0.731
Tm 0.264 0.264 0.000
Tm 0.364 0.632 0.731
Tm 0.636 0.368 0.269
Tm 0.736 0.736 0.000
Tm 0.901 0.632 0.269
Sc 0.500 0.000 0.500

The 12 most intense peaks (10° ≤ 2θ ≤ 90°), low angle first:
| 2theta | intensity |
| --- | --- |
| 10.75 | 13 |
| 31.49 | 43 |
| 32.91 | 100 |
| 33.63 | 32 |
| 35.89 | 20 |
| 39.65 | 16 |
| 47.76 | 24 |
| 58.04 | 13 |
| 58.76 | 16 |
| 60.55 | 17 |
| 63.83 | 33 |
| 83.10 | 12 |

No. 13
Structure and computed powder X-ray diffraction pattern of Ba5NaSr2Ca (a PBE-relaxed structure; Cu Kα).
No peak broadening, texture or thermal motion is included.

Crystal structure
Cell: 12.845 12.845 12.545 Å, 90.00 90.00 149.56°
Element x y z (fractional)
Ba 0.000 0.000 0.000
Ba 0.000 0.000 0.500
Ba 0.141 0.859 0.750
Ba 0.219 0.781 0.075
Ba 0.219 0.781 0.425
Ba 0.489 0.511 0.750
Ba 0.511 0.489 0.250
Ba 0.781 0.219 0.575
Ba 0.781 0.219 0.925
Ba 0.859 0.141 0.250
Na 0.095 0.905 0.250
Na 0.905 0.095 0.750
Sr 0.388 0.612 0.024
Sr 0.388 0.612 0.476
Sr 0.612 0.388 0.524
Sr 0.612 0.388 0.976
Ca 0.310 0.690 0.750
Ca 0.690 0.310 0.250

The 12 most intense peaks (10° ≤ 2θ ≤ 90°), low angle first:
| 2theta | intensity |
| --- | --- |
| 22.14 | 30 |
| 22.25 | 10 |
| 22.66 | 12 |
| 25.32 | 36 |
| 26.44 | 100 |
| 28.46 | 11 |
| 29.37 | 9 |
| 35.09 | 8 |
| 37.23 | 8 |
| 39.23 | 8 |
| 46.66 | 14 |
| 46.79 | 11 |